(1)
Starting from a cell relaxed with GGA-PBE, the PXRD pattern of Na2Cu4P2ClO9 was simulated for a wavelength of 1.5418 Å.
Lines closer than 0.1° are merged.

Structure:
abc: 13.6637 10.4295 6.5263
angles: 90.00 90.00 90.00
Space group Cmcm (No. 63)
Inequivalent atoms, fractional coordinates:
Na: 0.2025 0.0000 0.0000 (multiplicity 8)
Cu: 0.0000 0.1225 0.2500 (multiplicity 4)
Cu: 0.0000 0.5000 0.0000 (multiplicity 4)
Cu: 0.1131 0.2995 0.7500 (multiplicity 8)
P: 0.1653 0.2967 0.2500 (multiplicity 8)
Cl: 0.0000 0.1017 0.7500 (multiplicity 4)
O: 0.0000 0.4100 0.7500 (multiplicity 4)
O: 0.1230 0.3623 0.0553 (multiplicity 16)
O: 0.1420 0.1493 0.2500 (multiplicity 8)
O: 0.2219 0.1798 0.7500 (multiplicity 8)

Principal peaks in the range 15 to 90 degrees two-theta, by intensity:
2θ 32.38, d 2.765, I 100, hkl 0 2 2
2θ 31.30, d 2.857, I 43, hkl 4 2 0
2θ 34.90, d 2.571, I 29, hkl 3 1 2
2θ 27.33, d 3.263, I 26, hkl 0 0 2
2θ 52.29, d 1.750, I 24, hkl 4 4 2
2θ 29.42, d 3.036, I 24, hkl 1 1 2
2θ 25.46, d 3.499, I 23, hkl 2 2 1
2θ 42.05, d 2.149, I 16, hkl 5 3 0
2θ 43.91, d 2.062, I 16, hkl 1 5 0
2θ 56.39, d 1.632, I 16, hkl 0 0 4

***

(2)
Starting from a cell relaxed with GGA-PBE, the PXRD pattern of NpTlCu2I8 was simulated for a wavelength of 1.5418 Å.
Lines closer than 0.1° are merged.

Structure:
abc: 12.1542 8.3676 10.0276
angles: 90.00 91.63 90.00
Space group C2/m (No. 12)
Inequivalent atoms, fractional coordinates:
Np: 0.0000 0.0000 0.0000 (multiplicity 2)
Tl: 0.0000 0.0000 0.5000 (multiplicity 2)
Cu: 0.1410 0.5000 0.7629 (multiplicity 4)
I: 0.0008 0.2528 0.7868 (multiplicity 8)
I: 0.2172 0.5000 0.5341 (multiplicity 4)
I: 0.2447 0.0000 0.0122 (multiplicity 4)

Principal peaks in the range 15 to 90 degrees two-theta, by intensity:
2θ 27.78, d 3.212, I 100, hkl 0 2 2
2θ 41.28, d 2.187, I 50, hkl 4 2 2
2θ 40.50, d 2.227, I 44, hkl 4 2 -2
2θ 29.41, d 3.037, I 44, hkl 4 0 0
2θ 24.42, d 3.645, I 41, hkl 3 1 0
2θ 43.26, d 2.092, I 36, hkl 0 4 0
2θ 22.10, d 4.023, I 33, hkl 1 1 2
2θ 25.85, d 3.446, I 29, hkl 2 2 0
2θ 35.83, d 2.506, I 28, hkl 0 0 4
2θ 21.76, d 4.085, I 23, hkl 1 1 -2

***

What did the second record say?
Starting from a cell relaxed with GGA-PBE, the PXRD pattern of NpTlCu2I8 was simulated for a wavelength of 1.5418 Å.
Lines closer than 0.1° are merged.

Structure:
abc: 12.1542 8.3676 10.0276
angles: 90.00 91.63 90.00
Space group C2/m (No. 12)
Inequivalent atoms, fractional coordinates:
Np: 0.0000 0.0000 0.0000 (multiplicity 2)
Tl: 0.0000 0.0000 0.5000 (multiplicity 2)
Cu: 0.1410 0.5000 0.7629 (multiplicity 4)
I: 0.0008 0.2528 0.7868 (multiplicity 8)
I: 0.2172 0.5000 0.5341 (multiplicity 4)
I: 0.2447 0.0000 0.0122 (multiplicity 4)

Principal peaks in the range 15 to 90 degrees two-theta, by intensity:
2θ 27.78, d 3.212, I 100, hkl 0 2 2
2θ 41.28, d 2.187, I 50, hkl 4 2 2
2θ 40.50, d 2.227, I 44, hkl 4 2 -2
2θ 29.41, d 3.037, I 44, hkl 4 0 0
2θ 24.42, d 3.645, I 41, hkl 3 1 0
2θ 43.26, d 2.092, I 36, hkl 0 4 0
2θ 22.10, d 4.023, I 33, hkl 1 1 2
2θ 25.85, d 3.446, I 29, hkl 2 2 0
2θ 35.83, d 2.506, I 28, hkl 0 0 4
2θ 21.76, d 4.085, I 23, hkl 1 1 -2